[1]
The following is a theoretical X-ray powder pattern of KBe2Br. It was derived from a GGA-PBE-relaxed structure, using Cu Kα (weighted mean of Kα1 and Kα2).

Principal peaks in the range 10° ≤ 2θ ≤ 90°, sorted by position:
- 2θ = 16.30°, I 81
- 2θ = 18.67°, I 15
- 2θ = 22.49°, I 11
- 2θ = 29.39°, I 100
- 2θ = 32.95°, I 20
- 2θ = 37.65°, I 22
- 2θ = 37.83°, I 35
- 2θ = 45.91°, I 11
- 2θ = 50.85°, I 17
- 2θ = 51.04°, I 11

Cell and atoms:
```
KBe2Br
1.0
10.8749 0.0000 0.0000
0.0000 4.2440 0.0000
-0.0283 0.0000 4.7528
K Be Br
2 4 2
Cartesian
0.0000 0.0000 0.0000
5.4374 2.1220 0.0000
2.3921 2.1220 2.3770
3.0171 0.0000 2.3758
7.8295 0.0000 2.3770
8.4545 2.1220 2.3758
-0.0141 2.1220 2.3764
5.4233 0.0000 2.3764
```



[2]
The following is a theoretical X-ray powder pattern of TbTmGa6. It was derived from a GGA-PBE-relaxed structure, using Cu Kα (weighted mean of Kα1 and Kα2).

Principal peaks in the range 10° ≤ 2θ ≤ 90°, sorted by position:
- 2θ = 25.47°, I 25
- 2θ = 28.67°, I 10
- 2θ = 33.22°, I 25
- 2θ = 38.72°, I 100
- 2θ = 39.22°, I 23
- 2θ = 52.32°, I 14
- 2θ = 59.36°, I 16
- 2θ = 70.75°, I 16
- 2θ = 73.15°, I 12
- 2θ = 73.48°, I 17

Cell and atoms:
```
TbTmGa6
1.0
6.2276 0.0000 0.0000
-3.1138 5.3933 0.0000
0.0000 0.0000 4.5938
Tb Tm Ga
1 1 6
Cartesian
0.0000 0.0000 0.0000
3.1138 1.7978 2.2969
-1.3893 2.7934 0.0000
0.0000 2.0083 2.2969
-1.3746 4.3891 2.2969
1.3893 2.7934 0.0000
0.0000 5.1998 0.0000
1.3746 4.3891 2.2969
```



[3]
The following is a theoretical X-ray powder pattern of LiAc2GaSn6. It was derived from a GGA-PBE-relaxed structure, using Cu Kα (weighted mean of Kα1 and Kα2).

Principal peaks in the range 10° ≤ 2θ ≤ 90°, sorted by position:
- 2θ = 24.80°, I 16
- 2θ = 27.46°, I 18
- 2θ = 27.66°, I 100
- 2θ = 31.75°, I 40
- 2θ = 32.76°, I 29
- 2θ = 33.40°, I 37
- 2θ = 34.13°, I 16
- 2θ = 37.79°, I 26
- 2θ = 41.19°, I 22
- 2θ = 57.11°, I 22

Cell and atoms:
```
LiAc2GaSn6
1.0
8.7671 0.0000 0.0000
0.0000 9.5220 0.0000
0.0000 0.0000 6.9931
Li Ac Ga Sn
2 4 2 12
Cartesian
2.1918 2.3805 0.8158
6.5753 7.1415 6.1773
2.1918 0.2264 4.8001
2.1918 4.5346 4.8001
6.5753 4.9874 2.1930
6.5753 9.2956 2.1930
2.1918 7.1415 2.9465
6.5753 2.3805 4.0466
0.2373 2.3805 2.7837
0.2666 7.1415 0.2102
2.1918 5.0348 1.2385
2.1918 9.2482 1.2385
4.1170 7.1415 0.2102
4.1463 2.3805 2.7837
4.6208 7.1415 4.2094
4.6501 2.3805 6.7829
6.5753 0.2738 5.7546
6.5753 4.4872 5.7546
8.5005 2.3805 6.7829
8.5298 7.1415 4.2094
```



[4]
The following is a theoretical X-ray powder pattern of Na2TbTeSe4. It was derived from a GGA-PBE-relaxed structure, using Cu Kα (weighted mean of Kα1 and Kα2).

Principal peaks in the range 10° ≤ 2θ ≤ 90°, sorted by position:
- 2θ = 12.46°, I 50
- 2θ = 13.07°, I 22
- 2θ = 23.23°, I 12
- 2θ = 28.34°, I 58
- 2θ = 30.44°, I 100
- 2θ = 40.40°, I 20
- 2θ = 42.10°, I 38
- 2θ = 43.61°, I 54
- 2θ = 51.43°, I 21
- 2θ = 54.16°, I 19

Cell and atoms:
```
Na2TbTeSe4
1.0
5.8958 -5.8656 0.0000
5.8958 5.8656 0.0000
-5.4299 0.0000 6.2985
Na Tb Te Se
4 2 2 8
Cartesian
0.0000 0.0000 0.0000
-2.7150 0.0000 3.1493
2.9479 2.9328 0.0000
0.2329 -2.9328 3.1493
5.8958 0.0000 0.0000
3.1809 0.0000 3.1493
0.2329 2.9328 3.1493
2.9479 -2.9328 0.0000
2.9909 2.8755 2.9987
0.2932 0.1067 3.3714
3.0082 -0.1067 0.2221
6.0858 2.8755 0.1505
0.2759 -2.8755 6.1480
3.3536 0.1067 6.0764
6.0685 -0.1067 2.9271
3.3708 -2.8755 3.2998
```